No. 1
Calculated powder X-ray diffraction pattern of Ag3AsS3 for copper Kα, from the GGA-PBE geometry in Alexandria.

Structural model:
```
data_Ag3AsS3
_chemical_formula_sum 'Ag6 As2 S6'
_symmetry_space_group_name_H-M 'P 1'
_symmetry_Int_Tables_number 1
_symmetry_space_group_name_Hall 'P 1'
_cell_length_a 6.967
_cell_length_b 6.967
_cell_length_c 6.967
_cell_angle_alpha 101.16
_cell_angle_beta 101.16
_cell_angle_gamma 101.16
loop_
_atom_site_label
_atom_site_type_symbol
_atom_site_fract_x
_atom_site_fract_y
_atom_site_fract_z
Ag1 Ag 0.036 0.374 0.590
Ag2 Ag 0.090 0.874 0.536
Ag3 Ag 0.374 0.590 0.036
Ag4 Ag 0.536 0.090 0.874
Ag5 Ag 0.590 0.036 0.374
Ag6 Ag 0.874 0.536 0.090
As1 As 0.114 0.114 0.114
As2 As 0.614 0.614 0.614
S1 S 0.215 0.884 0.894
S2 S 0.384 0.715 0.394
S3 S 0.394 0.384 0.715
S4 S 0.715 0.394 0.384
S5 S 0.884 0.894 0.215
S6 S 0.894 0.215 0.884
```

The 8 most intense peaks (2θ from 10° to 90°), most intense first:
d [Å], intensity
2.718, 1000
3.301, 766
2.824, 643
3.107, 546
2.494, 447
1.948, 368
3.318, 332
2.087, 299

---

No. 2
Calculated powder X-ray diffraction pattern of Ag3AsS3 for copper Kα, from the GGA-PBE geometry in Alexandria.

Structural model:
```
data_Ag3AsS3
_chemical_formula_sum 'Ag12 As4 S12'
_symmetry_space_group_name_H-M 'P 1'
_symmetry_Int_Tables_number 1
_symmetry_space_group_name_Hall 'P 1'
_cell_length_a 6.865
_cell_length_b 6.865
_cell_length_c 17.130
_cell_angle_alpha 107.30
_cell_angle_beta 107.30
_cell_angle_gamma 55.95
loop_
_atom_site_label
_atom_site_type_symbol
_atom_site_fract_x
_atom_site_fract_y
_atom_site_fract_z
Ag1 Ag 0.028 0.842 0.561
Ag2 Ag 0.106 0.159 0.714
Ag3 Ag 0.158 0.972 0.939
Ag4 Ag 0.159 0.106 0.214
Ag5 Ag 0.331 0.388 0.631
Ag6 Ag 0.388 0.331 0.131
Ag7 Ag 0.612 0.669 0.869
Ag8 Ag 0.669 0.612 0.369
Ag9 Ag 0.841 0.894 0.786
Ag10 Ag 0.842 0.028 0.061
Ag11 Ag 0.894 0.841 0.286
Ag12 Ag 0.972 0.158 0.439
As1 As 0.303 0.400 0.927
As2 As 0.400 0.303 0.427
As3 As 0.600 0.697 0.573
As4 As 0.697 0.600 0.073
S1 S 0.024 0.296 0.858
S2 S 0.030 0.654 0.413
S3 S 0.287 0.568 0.827
S4 S 0.296 0.024 0.358
S5 S 0.346 0.970 0.087
S6 S 0.432 0.713 0.673
S7 S 0.568 0.287 0.327
S8 S 0.654 0.030 0.913
S9 S 0.704 0.976 0.642
S10 S 0.713 0.432 0.173
S11 S 0.970 0.346 0.587
S12 S 0.976 0.704 0.142
```

The 8 most intense peaks (2θ from 10° to 90°), most intense first:
d [Å], intensity
3.005, 1000
3.044, 891
2.854, 589
3.221, 575
3.403, 368
2.825, 277
2.136, 251
2.141, 241

---

No. 3
Calculated powder X-ray diffraction pattern of Ag8AsS6 for copper Kα, from the GGA-PBE geometry in Alexandria.

Structural model:
```
data_Ag8AsS6
_chemical_formula_sum 'Ag16 As2 S12'
_symmetry_space_group_name_H-M 'P 1'
_symmetry_Int_Tables_number 1
_symmetry_space_group_name_Hall 'P 1'
_cell_length_a 7.798
_cell_length_b 7.558
_cell_length_c 10.705
_cell_angle_alpha 90.00
_cell_angle_beta 90.00
_cell_angle_gamma 90.00
loop_
_atom_site_label
_atom_site_type_symbol
_atom_site_fract_x
_atom_site_fract_y
_atom_site_fract_z
Ag1 Ag 0.000 0.120 0.000
Ag2 Ag 0.000 0.208 0.444
Ag3 Ag 0.204 0.603 0.833
Ag4 Ag 0.206 0.031 0.232
Ag5 Ag 0.214 0.656 0.118
Ag6 Ag 0.286 0.344 0.618
Ag7 Ag 0.294 0.969 0.732
Ag8 Ag 0.296 0.397 0.333
Ag9 Ag 0.500 0.792 0.944
Ag10 Ag 0.500 0.880 0.500
Ag11 Ag 0.704 0.397 0.333
Ag12 Ag 0.706 0.969 0.732
Ag13 Ag 0.714 0.344 0.618
Ag14 Ag 0.786 0.656 0.118
Ag15 Ag 0.794 0.031 0.232
Ag16 Ag 0.796 0.603 0.833
As1 As 0.000 0.742 0.481
As2 As 0.500 0.258 0.981
S1 S 0.000 0.296 0.218
S2 S 0.000 0.506 0.625
S3 S 0.000 0.781 0.974
S4 S 0.000 0.983 0.613
S5 S 0.244 0.252 0.862
S6 S 0.256 0.748 0.362
S7 S 0.500 0.017 0.113
S8 S 0.500 0.219 0.474
S9 S 0.500 0.494 0.125
S10 S 0.500 0.704 0.718
S11 S 0.744 0.748 0.362
S12 S 0.756 0.252 0.862
```

The 8 most intense peaks (2θ from 10° to 90°), most intense first:
d [Å], intensity
3.152, 1000
2.523, 731
2.117, 576
3.087, 462
3.563, 429
1.905, 386
2.160, 339
2.909, 331

---

No. 4
Calculated powder X-ray diffraction pattern of Ag3AsS2 for copper Kα, from the GGA-PBE geometry in Alexandria.

Structural model:
```
data_Ag3AsS2
_chemical_formula_sum 'Ag6 As2 S4'
_symmetry_space_group_name_H-M 'P 1'
_symmetry_Int_Tables_number 1
_symmetry_space_group_name_Hall 'P 1'
_cell_length_a 7.130
_cell_length_b 7.130
_cell_length_c 7.130
_cell_angle_alpha 116.73
_cell_angle_beta 87.51
_cell_angle_gamma 126.42
loop_
_atom_site_label
_atom_site_type_symbol
_atom_site_fract_x
_atom_site_fract_y
_atom_site_fract_z
Ag1 Ag 0.032 0.750 0.282
Ag2 Ag 0.250 0.250 0.000
Ag3 Ag 0.468 0.750 0.718
Ag4 Ag 0.532 0.250 0.282
Ag5 Ag 0.750 0.750 0.000
Ag6 Ag 0.968 0.250 0.718
As1 As 0.000 0.500 0.500
As2 As 0.500 0.000 0.500
S1 S 0.132 0.202 0.334
S2 S 0.368 0.702 0.070
S3 S 0.632 0.298 0.930
S4 S 0.868 0.798 0.666
```

The 8 most intense peaks (2θ from 10° to 90°), most intense first:
d [Å], intensity
3.739, 1000
2.239, 852
2.121, 525
2.437, 488
2.838, 264
1.709, 249
2.575, 229
2.203, 229